Simulated XRD peak list of La2Pd2O5 for Cu Ka, from DFT lattice parameters and positions (GGA-PBE).
Peak positions follow from Bragg's law for the DFT cell and can differ from measured ones.

Top 10 peaks for 10 to 80 degrees two-theta, sorted by position:
Position (°2θ)  d (Å)  intensity
29.6  3.020  26
30.8  2.901  77
31.6  2.833  37
33.6  2.665  100
43.8  2.066  47
48.6  1.873  16
56.9  1.618  19
57.6  1.601  21
59.1  1.562  17
65.9  1.417  17

Cell and atoms:
Cell: 6.7531 6.7531 5.6667 Å, 90.00 90.00 90.00°
Element x y z (fractional)
La 0.1076 0.2620 0.0000
La 0.2620 0.8924 0.5000
La 0.7380 0.1076 0.5000
La 0.8924 0.7380 0.0000
Pd 0.3090 0.4054 0.5000
Pd 0.4054 0.6910 0.0000
Pd 0.5946 0.3090 0.0000
Pd 0.6910 0.5946 0.5000
O 0.0000 0.0000 0.2500
O 0.0000 0.0000 0.7500
O 0.1993 0.5966 0.2426
O 0.1993 0.5966 0.7574
O 0.4034 0.1993 0.2574
O 0.4034 0.1993 0.7426
O 0.5966 0.8007 0.2574
O 0.5966 0.8007 0.7426
O 0.8007 0.4034 0.2426
O 0.8007 0.4034 0.7574



Simulated XRD peak list of Na4Hf2Ge3O12 for Cu Ka, from DFT lattice parameters and positions (GGA-PBE).
Peak positions follow from Bragg's law for the DFT cell and can differ from measured ones.

Top 10 peaks for 10 to 80 degrees two-theta, sorted by position:
Position (°2θ)  d (Å)  intensity
18.6  4.764  72
19.0  4.667  92
22.1  4.028  45
26.7  3.334  55
30.2  2.957  100
32.6  2.751  86
32.8  2.731  43
45.0  2.014  34
56.6  1.625  27
65.0  1.434  26

Cell and atoms:
Cell: 9.3374 9.3374 9.3374 Å, 61.36 61.36 61.36°
Element x y z (fractional)
Na 0.0000 0.0000 0.0000
Na 0.1292 0.7500 0.3708
Na 0.2500 0.6292 0.8708
Na 0.3708 0.1292 0.7500
Na 0.5000 0.5000 0.5000
Na 0.6292 0.8708 0.2500
Na 0.7500 0.3708 0.1292
Na 0.8708 0.2500 0.6292
Hf 0.1439 0.1439 0.1439
Hf 0.3561 0.3561 0.3561
Hf 0.6439 0.6439 0.6439
Hf 0.8561 0.8561 0.8561
Ge 0.0427 0.4573 0.7500
Ge 0.2500 0.9573 0.5427
Ge 0.4573 0.7500 0.0427
Ge 0.5427 0.2500 0.9573
Ge 0.7500 0.0427 0.4573
Ge 0.9573 0.5427 0.2500
O 0.0097 0.6369 0.7934
O 0.0612 0.2618 0.9241
O 0.0759 0.9388 0.7382
O 0.1369 0.5097 0.2934
O 0.2066 0.9903 0.3631
O 0.2382 0.4388 0.5759
O 0.2618 0.9241 0.0612
O 0.2934 0.1369 0.5097
O 0.3631 0.2066 0.9903
O 0.4241 0.7618 0.5612
O 0.4388 0.5759 0.2382
O 0.4903 0.7066 0.8631
O 0.5097 0.2934 0.1369
O 0.5612 0.4241 0.7618
O 0.5759 0.2382 0.4388
O 0.6369 0.7934 0.0097
O 0.7066 0.8631 0.4903
O 0.7382 0.0759 0.9388
O 0.7618 0.5612 0.4241
O 0.7934 0.0097 0.6369
O 0.8631 0.4903 0.7066
O 0.9241 0.0612 0.2618
O 0.9388 0.7382 0.0759
O 0.9903 0.3631 0.2066